This entry pairs a crystal structure of LaEr4Tl4 with its simulated X-ray powder pattern. Radiation: λ = 1.5418 Å (Cu Kα). Structure: DFT lattice parameters and positions (PBE).
Kinematic intensities with the Lorentz-polarization factor, no thermal factor.

Atomic structure:
a b c (Å): 7.3940 7.3940 10.3614
angles (deg): 90.00 90.00 90.00
Element x y z (fractional)
La (0.2500, 0.7500, 0.2500)
La (0.7500, 0.2500, 0.7500)
Er (0.0153, 0.2500, 0.1562)
Er (0.2500, 0.0153, 0.6562)
Er (0.2500, 0.4847, 0.6562)
Er (0.4847, 0.2500, 0.1562)
Er (0.5153, 0.7500, 0.8438)
Er (0.7500, 0.5153, 0.3438)
Er (0.7500, 0.9847, 0.3438)
Er (0.9847, 0.7500, 0.8438)
Tl (0.0352, 0.2500, 0.4564)
Tl (0.2500, 0.0352, 0.9564)
Tl (0.2500, 0.4648, 0.9564)
Tl (0.4648, 0.2500, 0.4564)
Tl (0.5352, 0.7500, 0.5436)
Tl (0.7500, 0.5352, 0.0436)
Tl (0.7500, 0.9648, 0.0436)
Tl (0.9648, 0.7500, 0.5436)

Peak list (10 most intense, 2θ = 5–70°, in order of rising 2θ)
2θ (°)  I (rel.)
14.72  238
25.58  230
28.33  829
28.52  238
34.30  623
35.57  1000
36.76  323
49.30  303
57.30  267
62.26  320

This entry pairs a crystal structure of PrIr4O12 with its simulated X-ray powder pattern. Radiation: λ = 1.5418 Å (Cu Kα). Structure: DFT lattice parameters and positions (PBE).
Kinematic intensities with the Lorentz-polarization factor, no thermal factor.

Atomic structure:
a b c (Å): 6.4970 6.4970 6.4970
angles (deg): 109.47 109.47 109.47
Element x y z (fractional)
Pr (0.0000, 0.0000, 0.0000)
Ir (0.0000, 0.0000, 0.5000)
Ir (0.0000, 0.5000, 0.0000)
Ir (0.5000, 0.0000, 0.0000)
Ir (0.5000, 0.5000, 0.5000)
O (0.1071, 0.8169, 0.2902)
O (0.1831, 0.2902, 0.4733)
O (0.1831, 0.7098, 0.8929)
O (0.2902, 0.1071, 0.8169)
O (0.2902, 0.4733, 0.1831)
O (0.4733, 0.1831, 0.2902)
O (0.5267, 0.8169, 0.7098)
O (0.7098, 0.5267, 0.8169)
O (0.7098, 0.8929, 0.1831)
O (0.8169, 0.2902, 0.1071)
O (0.8169, 0.7098, 0.5267)
O (0.8929, 0.1831, 0.7098)

Peak list (10 most intense, 2θ = 5–70°, in order of rising 2θ)
2θ (°)  I (rel.)
16.71  175
23.72  750
29.16  63
33.79  1000
37.93  62
41.71  138
45.22  77
48.54  254
54.72  319
60.45  461

Please write out number 2 again, unchanged.
This entry pairs a crystal structure of PrIr4O12 with its simulated X-ray powder pattern. Radiation: λ = 1.5418 Å (Cu Kα). Structure: DFT lattice parameters and positions (PBE).
Kinematic intensities with the Lorentz-polarization factor, no thermal factor.

Atomic structure:
a b c (Å): 6.4970 6.4970 6.4970
angles (deg): 109.47 109.47 109.47
Element x y z (fractional)
Pr (0.0000, 0.0000, 0.0000)
Ir (0.0000, 0.0000, 0.5000)
Ir (0.0000, 0.5000, 0.0000)
Ir (0.5000, 0.0000, 0.0000)
Ir (0.5000, 0.5000, 0.5000)
O (0.1071, 0.8169, 0.2902)
O (0.1831, 0.2902, 0.4733)
O (0.1831, 0.7098, 0.8929)
O (0.2902, 0.1071, 0.8169)
O (0.2902, 0.4733, 0.1831)
O (0.4733, 0.1831, 0.2902)
O (0.5267, 0.8169, 0.7098)
O (0.7098, 0.5267, 0.8169)
O (0.7098, 0.8929, 0.1831)
O (0.8169, 0.2902, 0.1071)
O (0.8169, 0.7098, 0.5267)
O (0.8929, 0.1831, 0.7098)

Peak list (10 most intense, 2θ = 5–70°, in order of rising 2θ)
2θ (°)  I (rel.)
16.71  175
23.72  750
29.16  63
33.79  1000
37.93  62
41.71  138
45.22  77
48.54  254
54.72  319
60.45  461